This entry pairs a crystal structure of AgPt with its calculated PXRD pattern. Radiation: Cu Ka. Structure: a PBE-relaxed structure.

Structural model:
```
data_AgPt
_cell_length_a 4.4687
_cell_length_b 4.4687
_cell_length_c 8.4296
_cell_angle_alpha 90.00
_cell_angle_beta 90.00
_cell_angle_gamma 120.00
_symmetry_space_group_name_H-M 'P 63/m m c'
_symmetry_Int_Tables_number 194
_symmetry_space_group_name_Hall '-P 6c 2c'
loop_
_atom_site_label
_atom_site_fract_x
_atom_site_fract_y
_atom_site_fract_z
Ag1 0.3333 0.6667 0.0814
Pt1 0.0000 0.0000 0.2500
Pt2 0.3333 0.6667 0.7500
```

Largest 6 diffraction maxima, in order of falling intensity, 2θ = 10–90°:
40.37°, intensity 100, (1 1 0); 39.64°, intensity 74, (1 0 3); 21.08°, intensity 33, (0 0 2); 45.97°, intensity 27, (1 1 2); 80.81°, intensity 26, (1 1 6); 31.38°, intensity 26, (1 0 2)